Record 1
Starting from a structure optimized by DFT (GGA-PBE), the XRD peak list of UNiC2 was computed for Cu Kα.
Neutral-atom scattering factors, no anomalous dispersion.

Structure:
Lattice parameters (Å, degrees): 3.5056 3.5056 7.3615 90.00 90.00 90.00
Space group P4/nmm (No. 129, origin choice 2)
One atom of each set of equivalent atoms:
U 0.2500 0.2500 0.1784
Ni 0.2500 0.7500 0.5000
C 0.2500 0.2500 0.6645
C 0.2500 0.2500 0.8619

Peak list (10 most intense, 2θ from 10° to 90°, most intense first)
- 28.20 deg, rel. 100.0
- 35.36 deg, rel. 51.0
- 44.04 deg, rel. 40.0
- 38.31 deg, rel. 35.9
- 36.62 deg, rel. 30.3
- 60.37 deg, rel. 26.7
- 52.19 deg, rel. 26.0
- 36.24 deg, rel. 25.5
- 65.44 deg, rel. 22.7
- 56.47 deg, rel. 22.3

=====

Record 2
Starting from a structure optimized by DFT (GGA-PBE), the XRD peak list of Ba2SrI6 was computed for Cu Kα.
Neutral-atom scattering factors, no anomalous dispersion.

Structure:
Lattice parameters (Å, degrees): 14.5906 14.5906 7.8781 90.00 90.00 120.00
Space group P321 (No. 150)
One atom of each set of equivalent atoms:
Ba 0.0000 0.3051 0.0000
Ba 0.0000 0.6389 0.5000
Sr 0.0000 0.0000 0.5000
Sr 0.3333 0.6667 0.9948
I 0.0847 0.8705 0.2617
I 0.1223 0.5375 0.2408
I 0.2248 0.4530 0.7517

Peak list (10 most intense, 2θ from 10° to 90°, most intense first)
- 23.96 deg, rel. 100.0
- 31.09 deg, rel. 62.9
- 36.97 deg, rel. 36.0
- 16.56 deg, rel. 32.1
- 40.48 deg, rel. 24.0
- 60.49 deg, rel. 16.4
- 62.98 deg, rel. 14.3
- 44.53 deg, rel. 14.3
- 49.05 deg, rel. 11.1
- 46.09 deg, rel. 9.7

=====

Record 3
Starting from a structure optimized by DFT (GGA-PBE), the XRD peak list of Cd2Hg2S2O11 was computed for Cu Kα.
Neutral-atom scattering factors, no anomalous dispersion.

Structure:
Lattice parameters (Å, degrees): 7.8946 6.3214 11.8531 90.00 118.43 90.00
Space group P2/c (No. 13)
One atom of each set of equivalent atoms:
Cd 0.2396 0.0102 0.4154
Hg 0.5000 0.2181 0.2500
Hg 0.5000 0.5000 0.0000
S 0.1676 0.2811 0.6452
O 0.0000 0.2132 0.2500
O 0.0444 0.2518 0.9181
O 0.2220 0.4891 0.7102
O 0.2381 0.2677 0.5487
O 0.2649 0.1053 0.7410
O 0.4898 0.2008 0.0682

Peak list (10 most intense, 2θ from 10° to 90°, most intense first)
- 12.75 deg, rel. 100.0
- 32.45 deg, rel. 81.2
- 29.48 deg, rel. 66.2
- 30.36 deg, rel. 57.9
- 27.08 deg, rel. 54.3
- 29.35 deg, rel. 52.2
- 23.22 deg, rel. 49.3
- 54.81 deg, rel. 39.5
- 33.15 deg, rel. 37.9
- 26.88 deg, rel. 31.4

=====

- What is the formula in the third record?
  Cd2Hg2S2O11

=====

- Which formula does entry 3 have?
  Cd2Hg2S2O11